Entry 1:
Starting from a GGA-PBE-relaxed structure, the PXRD pattern of Mn4SnN4 was computed for Cu Kα (weighted mean of Kα1 and Kα2).

Atomic structure:
```
data_Mn4SnN4
_cell_length_a 5.3282
_cell_length_b 5.6150
_cell_length_c 7.3429
_cell_angle_alpha 88.85
_cell_angle_beta 76.89
_cell_angle_gamma 64.74
_symmetry_space_group_name_H-M 'P -1'
_symmetry_Int_Tables_number 2
loop_
_symmetry_equiv_pos_as_xyz
'x,y,z'
'-x,-y,-z'
loop_
_atom_site_label
_atom_site_fract_x
_atom_site_fract_y
_atom_site_fract_z
_atom_site_occupancy
Mn1 0.1370 0.0858 0.3508 1
Mn2 0.2815 0.9588 0.0065 1
Mn3 0.2934 0.4735 0.6795 1
Mn4 0.3560 0.9272 0.6556 1
Sn1 0.2342 0.5273 0.1896 1
N1 0.1021 0.8225 0.8404 1
N2 0.2482 0.7380 0.4809 1
N3 0.2741 0.2270 0.5099 1
N4 0.4513 0.1469 0.8399 1
```

Peak list (8 most intense, 2θ = 10–90°, low angle first)
| 2theta | I_rel | index |
| --- | --- | --- |
| 27.6 | 43 | 1 0 2 |
| 29.3 | 42 | 1 1 2 |
| 32.0 | 68 | 0 1 2 |
| 35.5 | 80 | 0 2 0 |
| 36.7 | 42 | 0 2 -1 |
| 38.5 | 71 | 2 0 0 |
| 39.6 | 100 | 2 2 0 |
| 45.7 | 43 | 2 1 3 |


Entry 2:
Starting from a GGA-PBE-relaxed structure, the PXRD pattern of Mn3SnN was computed for Cu Kα (weighted mean of Kα1 and Kα2).

Atomic structure:
```
data_Mn3SnN
_cell_length_a 3.8789
_cell_length_b 3.8789
_cell_length_c 3.8789
_cell_angle_alpha 90.00
_cell_angle_beta 90.00
_cell_angle_gamma 90.00
_symmetry_space_group_name_H-M 'P m -3 m'
_symmetry_Int_Tables_number 221
_symmetry_space_group_name_Hall '-P 4 2 3'
loop_
_atom_site_label
_atom_site_fract_x
_atom_site_fract_y
_atom_site_fract_z
_atom_site_occupancy
Mn1 0.0000 0.0000 0.5000 1
Sn1 0.5000 0.5000 0.5000 1
N1 0.0000 0.0000 0.0000 1
```

Peak list (8 most intense, 2θ = 10–90°, low angle first)
| 2theta | I_rel | index |
| --- | --- | --- |
| 22.9 | 10 | 1 0 0 |
| 32.6 | 22 | 1 1 0 |
| 40.3 | 100 | 1 1 1 |
| 46.8 | 57 | 2 0 0 |
| 58.3 | 9 | 2 1 1 |
| 68.4 | 35 | 2 2 0 |
| 82.5 | 36 | 3 1 1 |
| 87.0 | 12 | 2 2 2 |


Entry 3:
Starting from a GGA-PBE-relaxed structure, the PXRD pattern of Mn7SnN2 was computed for Cu Kα (weighted mean of Kα1 and Kα2).

Atomic structure:
```
data_Mn7SnN2
_cell_length_a 3.8430
_cell_length_b 3.8430
_cell_length_c 7.7300
_cell_angle_alpha 90.00
_cell_angle_beta 90.00
_cell_angle_gamma 90.00
_symmetry_space_group_name_H-M 'P 4/m m m'
_symmetry_Int_Tables_number 123
_symmetry_space_group_name_Hall '-P 4 2'
loop_
_atom_site_label
_atom_site_fract_x
_atom_site_fract_y
_atom_site_fract_z
_atom_site_occupancy
Mn1 0.0000 0.0000 0.0000 1
Mn2 0.0000 0.0000 0.5000 1
Mn3 0.0000 0.5000 0.2486 1
Mn4 0.5000 0.5000 0.5000 1
Sn1 0.5000 0.5000 0.0000 1
N1 0.0000 0.0000 0.2536 1
```

Peak list (8 most intense, 2θ = 10–90°, low angle first)
| 2theta | I_rel | index |
| --- | --- | --- |
| 40.6 | 100 | 1 1 2 |
| 47.0 | 19 | 0 0 4 |
| 47.3 | 38 | 2 0 0 |
| 68.9 | 23 | 2 0 4 |
| 69.1 | 11 | 2 2 0 |
| 82.9 | 11 | 1 1 6 |
| 83.4 | 23 | 3 1 2 |
| 87.8 | 12 | 2 2 4 |